[1]
For Pu4HfPt3, a GGA-PBE-relaxed structure gives the calculated X-ray powder pattern in this record (Cu Kα X-rays).
Kinematic intensities with the Lorentz-polarization factor, no thermal factor.

Cell and atoms:
```
data_Pu4HfPt3
_chemical_formula_sum 'Pu8 Hf2 Pt6'
_cell_length_a 8.404
_cell_length_b 8.404
_cell_length_c 8.404
_cell_angle_alpha 96.79
_cell_angle_beta 96.79
_cell_angle_gamma 139.76
_space_group_name_H-M_alt 'P 1'
_space_group_IT_number 1
loop_
_space_group_symop_operation_xyz
'x,y,z'
loop_
_atom_site_label
_atom_site_type_symbol
_atom_site_fract_x
_atom_site_fract_y
_atom_site_fract_z
Pu1 Pu 0.089 0.780 0.869
Pu2 Pu 0.220 0.089 0.309
Pu3 Pu 0.280 0.589 0.869
Pu4 Pu 0.411 0.280 0.691
Pu5 Pu 0.589 0.720 0.309
Pu6 Pu 0.720 0.411 0.131
Pu7 Pu 0.780 0.911 0.691
Pu8 Pu 0.911 0.220 0.131
Hf1 Hf 0.250 0.750 0.500
Hf2 Hf 0.750 0.250 0.500
Pt1 Pt 0.149 0.351 0.500
Pt2 Pt 0.250 0.250 0.000
Pt3 Pt 0.351 0.851 0.201
Pt4 Pt 0.649 0.149 0.799
Pt5 Pt 0.750 0.750 0.000
Pt6 Pt 0.851 0.649 0.500
```

Most intense lines, 10° ≤ 2θ ≤ 80°, in order of falling intensity:
2theta, I (rel.)
32.82, 1000
36.66, 903
35.99, 738
34.96, 524
38.61, 398
30.94, 318
46.56, 292
58.83, 237
67.64, 227
56.23, 224

[2]
For K2PuU3O12, a GGA-PBE-relaxed structure gives the calculated X-ray powder pattern in this record (Cu Kα X-rays).
Kinematic intensities with the Lorentz-polarization factor, no thermal factor.

Cell and atoms:
```
data_K2PuU3O12
_chemical_formula_sum 'K2 Pu1 U3 O12'
_cell_length_a 7.914
_cell_length_b 7.914
_cell_length_c 7.914
_cell_angle_alpha 60.95
_cell_angle_beta 60.95
_cell_angle_gamma 60.95
_space_group_name_H-M_alt 'P 1'
_space_group_IT_number 1
loop_
_space_group_symop_operation_xyz
'x,y,z'
loop_
_atom_site_label
_atom_site_type_symbol
_atom_site_fract_x
_atom_site_fract_y
_atom_site_fract_z
K1 K 0.174 0.174 0.174
K2 K 0.826 0.826 0.826
Pu1 Pu 0.500 0.500 0.500
U1 U 0.000 0.500 0.500
U2 U 0.500 0.000 0.500
U3 U 0.500 0.500 0.000
O1 O 0.172 0.568 0.568
O2 O 0.189 0.189 0.554
O3 O 0.189 0.554 0.189
O4 O 0.432 0.432 0.828
O5 O 0.432 0.828 0.432
O6 O 0.446 0.811 0.811
O7 O 0.554 0.189 0.189
O8 O 0.568 0.172 0.568
O9 O 0.568 0.568 0.172
O10 O 0.811 0.446 0.811
O11 O 0.811 0.811 0.446
O12 O 0.828 0.432 0.432
```

Most intense lines, 10° ≤ 2θ ≤ 80°, in order of falling intensity:
2theta, I (rel.)
13.54, 1000
27.28, 659
26.19, 578
31.76, 331
27.81, 269
53.89, 261
45.18, 259
13.80, 249
26.05, 248
41.43, 193